Entry 1:
Diffraction record for NdHo2ThBi4. The X-ray powder pattern is computed, not measured: it uses a GGA-PBE-relaxed structure and Cu Kα X-rays.
Neutral-atom scattering factors, no anomalous dispersion.

Crystal structure
```
NdHo2ThBi4
1.0
7.827 0.000 0.000
0.000 4.542 0.000
-2.624 0.000 7.406
Nd Ho Th Bi
1 2 1 4
direct
0.000 0.000 0.000
0.500 0.000 0.500
0.500 0.500 0.000
0.000 0.500 0.500
0.260 0.000 0.753
0.260 0.500 0.254
0.740 0.000 0.247
0.740 0.500 0.746
```

Peak list (8 most intense, 10 to 90 degrees two-theta, most intense first)
| two_theta | I_rel |
| --- | --- |
| 27.84 | 100 |
| 39.71 | 40 |
| 39.85 | 39 |
| 49.19 | 22 |
| 64.99 | 19 |
| 65.18 | 18 |
| 57.52 | 13 |
| 72.10 | 12 |



Entry 2:
Diffraction record for Ho4NiBi. The X-ray powder pattern is computed, not measured: it uses a GGA-PBE-relaxed structure and Cu Kα X-rays.
Neutral-atom scattering factors, no anomalous dispersion.

Crystal structure
```
Ho4NiBi
1.0
6.026 0.000 0.000
0.000 6.612 0.000
-2.975 0.000 8.176
Ho Ni Bi
8 2 2
direct
0.140 0.250 0.077
0.264 0.750 0.361
0.313 0.501 0.796
0.313 0.999 0.796
0.687 0.001 0.204
0.687 0.499 0.204
0.736 0.250 0.639
0.860 0.750 0.923
0.321 0.750 0.060
0.679 0.250 0.940
0.169 0.250 0.448
0.831 0.750 0.552
```

Peak list (8 most intense, 10 to 90 degrees two-theta, most intense first)
| two_theta | I_rel |
| --- | --- |
| 31.35 | 100 |
| 34.49 | 58 |
| 34.90 | 57 |
| 35.03 | 54 |
| 31.18 | 50 |
| 31.61 | 46 |
| 34.07 | 44 |
| 31.05 | 34 |



Entry 3:
Diffraction record for Ho4NiBi2. The X-ray powder pattern is computed, not measured: it uses a GGA-PBE-relaxed structure and Cu Kα X-rays.
Neutral-atom scattering factors, no anomalous dispersion.

Crystal structure
```
Ho4NiBi2
1.0
6.887 0.000 0.000
0.000 6.579 0.000
-2.755 0.000 8.609
Ho Ni Bi
8 2 4
direct
0.019 0.003 0.277
0.019 0.497 0.277
0.363 0.750 0.062
0.430 0.750 0.638
0.570 0.250 0.362
0.637 0.250 0.938
0.981 0.503 0.723
0.981 0.997 0.723
0.325 0.750 0.334
0.675 0.250 0.666
0.211 0.250 0.040
0.277 0.250 0.582
0.723 0.750 0.418
0.789 0.750 0.960
```

Peak list (8 most intense, 10 to 90 degrees two-theta, most intense first)
| two_theta | I_rel |
| --- | --- |
| 30.41 | 100 |
| 28.76 | 76 |
| 34.51 | 69 |
| 31.20 | 66 |
| 34.31 | 64 |
| 28.05 | 58 |
| 39.91 | 50 |
| 38.77 | 46 |



Entry 4:
Diffraction record for Ho2Ni2Bi. The X-ray powder pattern is computed, not measured: it uses a GGA-PBE-relaxed structure and Cu Kα X-rays.
Neutral-atom scattering factors, no anomalous dispersion.

Crystal structure
```
Ho2Ni2Bi
1.0
2.395 1.383 5.172
-2.395 1.383 5.172
0.000 -2.766 5.172
Ho Ni Bi
2 2 1
direct
0.231 0.231 0.231
0.769 0.769 0.769
0.422 0.422 0.422
0.578 0.578 0.578
0.000 0.000 0.000
```

Peak list (8 most intense, 10 to 90 degrees two-theta, most intense first)
| two_theta | I_rel |
| --- | --- |
| 37.55 | 100 |
| 31.58 | 72 |
| 36.15 | 60 |
| 66.86 | 43 |
| 53.11 | 28 |
| 49.85 | 21 |
| 64.05 | 20 |
| 67.76 | 18 |